Record 1
Mg3SiPd4: theoretical powder diffractogram (Cu Kα), based on the PBE geometry in Alexandria.
No peak broadening, texture or thermal motion is included.

Top 12 peaks for 2θ from 10° to 90°, sorted by position:
2θ 26.5, d 3.368, I = 270, (0 0 4)
2θ 29.5, d 3.029, I = 450, (1 1 0)
2θ 40.0, d 2.252, I = 1000, (1 1 4)
2θ 42.2, d 2.142, I = 454, (2 0 0)
2θ 50.5, d 1.807, I = 182, (2 0 4)
2θ 54.5, d 1.684, I = 84, (0 0 8)
2θ 61.2, d 1.514, I = 147, (2 2 0)
2θ 67.9, d 1.381, I = 74, (2 2 4)
2θ 69.4, d 1.355, I = 75, (3 1 0)
2θ 71.2, d 1.324, I = 147, (2 0 8)
2θ 75.7, d 1.257, I = 307, (3 1 4)
2θ 86.4, d 1.126, I = 88, (2 2 8)

Crystal structure
```
data_Mg3SiPd4
_symmetry_space_group_name_H-M 'I 4/m m m'
_symmetry_Int_Tables_number 139
_symmetry_space_group_name_Hall '-I 4 2'
_cell_length_a 4.2834
_cell_length_b 4.2834
_cell_length_c 13.4712
_cell_angle_alpha 90.00
_cell_angle_beta 90.00
_cell_angle_gamma 90.00
loop_
_atom_site_label
_atom_site_fract_x
_atom_site_fract_y
_atom_site_fract_z
Mg1 0.0000 0.0000 0.0000
Mg2 0.0000 0.0000 0.2495
Si1 0.0000 0.0000 0.5000
Pd1 0.0000 0.5000 0.1145
```

Record 2
Na2Tl15Sn2: theoretical powder diffractogram (Cu Kα), based on the PBE geometry in Alexandria.
No peak broadening, texture or thermal motion is included.

Top 12 peaks for 2θ from 10° to 90°, sorted by position:
2θ 16.5, d 5.369, I = 611, (1 1 0)
2θ 27.2, d 3.280, I = 453, (0 2 4)
2θ 29.1, d 3.070, I = 254, (0 0 6)
2θ 31.0, d 2.888, I = 703, (2 0 5)
2θ 32.4, d 2.767, I = 1000, (0 3 3)
2θ 33.4, d 2.684, I = 342, (2 2 0)
2θ 33.6, d 2.665, I = 193, (1 1 6)
2θ 36.5, d 2.460, I = 754, (2 2 3)
2θ 40.0, d 2.253, I = 155, (0 4 2)
2θ 56.2, d 1.636, I = 176, (0 4 8)
2θ 58.2, d 1.586, I = 179, (4 2 5)
2θ 59.7, d 1.550, I = 180, (6 0 0)

Crystal structure
```
data_Na2Tl15Sn2
_symmetry_space_group_name_H-M 'R -3 m'
_symmetry_Int_Tables_number 166
_symmetry_space_group_name_Hall '-R 3 2"'
_cell_length_a 10.7379
_cell_length_b 10.7379
_cell_length_c 18.4221
_cell_angle_alpha 90.00
_cell_angle_beta 90.00
_cell_angle_gamma 120.00
loop_
_atom_site_label
_atom_site_fract_x
_atom_site_fract_y
_atom_site_fract_z
Na1 0.0000 0.0000 0.1013
Tl1 0.0000 0.2987 0.0000
Tl2 0.0000 0.5000 0.5000
Tl3 0.0250 0.5125 0.1265
Sn1 0.0000 0.0000 0.2950
```

Record 3
Nd6CdRh: theoretical powder diffractogram (Cu Kα), based on the PBE geometry in Alexandria.
No peak broadening, texture or thermal motion is included.

Top 12 peaks for 2θ from 10° to 90°, sorted by position:
2θ 23.1, d 3.852, I = 198, (1 -1 1)
2θ 27.0, d 3.298, I = 332, (0 0 2)
2θ 28.6, d 3.118, I = 636, (1 -2 1)
2θ 28.7, d 3.106, I = 1000, (2 -1 0)
2θ 29.0, d 3.082, I = 323, (-2 1 2)
2θ 37.2, d 2.415, I = 395, (1 1 1)
2θ 37.4, d 2.404, I = 285, (1 1 -3)
2θ 37.6, d 2.390, I = 124, (-2 1 3)
2θ 44.4, d 2.042, I = 170, (0 3 -1)
2θ 44.7, d 2.028, I = 345, (-3 3 1)
2θ 48.7, d 1.872, I = 152, (1 1 2)
2θ 48.9, d 1.862, I = 144, (-1 2 3)

Crystal structure
```
data_Nd6CdRh
_symmetry_space_group_name_H-M 'P -1'
_symmetry_Int_Tables_number 2
_symmetry_space_group_name_Hall '-P 1'
_cell_length_a 7.0080
_cell_length_b 7.0538
_cell_length_c 7.7117
_cell_angle_alpha 90.41
_cell_angle_beta 116.51
_cell_angle_gamma 119.71
loop_
_atom_site_label
_atom_site_fract_x
_atom_site_fract_y
_atom_site_fract_z
Nd1 0.0385 0.0797 0.2505
Nd2 0.2896 0.7105 0.2488
Nd3 0.3250 0.5386 0.7512
Cd1 0.5000 0.0000 0.0000
Rh1 0.5000 0.5000 0.5000
```

Record 4
Ni3BPt: theoretical powder diffractogram (Cu Kα), based on the PBE geometry in Alexandria.
No peak broadening, texture or thermal motion is included.

Top 12 peaks for 2θ from 10° to 90°, sorted by position:
2θ 15.9, d 5.584, I = 323, (1 0 1)
2θ 28.2, d 3.169, I = 436, (0 1 1)
2θ 34.7, d 2.586, I = 542, (2 1 0)
2θ 35.6, d 2.520, I = 287, (1 0 3)
2θ 36.3, d 2.477, I = 355, (1 1 2)
2θ 36.5, d 2.460, I = 244, (2 1 1)
2θ 41.4, d 2.181, I = 814, (3 0 2)
2θ 42.9, d 2.108, I = 871, (0 1 3)
2θ 44.5, d 2.036, I = 275, (1 1 3)
2θ 45.1, d 2.011, I = 1000, (3 1 1)
2θ 53.1, d 1.726, I = 383, (0 2 0)
2θ 69.4, d 1.353, I = 346, (3 2 2)

Crystal structure
```
data_Ni3BPt
_symmetry_space_group_name_H-M 'P n m a'
_symmetry_Int_Tables_number 62
_symmetry_space_group_name_Hall '-P 2ac 2n'
_cell_length_a 7.8083
_cell_length_b 3.4521
_cell_length_c 7.9884
_cell_angle_alpha 90.00
_cell_angle_beta 90.00
_cell_angle_gamma 90.00
loop_
_atom_site_label
_atom_site_fract_x
_atom_site_fract_y
_atom_site_fract_z
Ni1 0.0693 0.2500 0.0826
Ni2 0.1626 0.7500 0.2671
Ni3 0.2386 0.7500 0.9425
B1 0.0839 0.2500 0.8281
Pt1 0.0855 0.7500 0.6307
```